The following is a calculated powder diffraction line list of NbSb4P. It was derived from a cell relaxed with PBE, using Cu Kα X-rays.
Neutral-atom scattering factors, no anomalous dispersion.

Main lines, low angle first (2θ from 5° to 70°):
2θ 31.2, intensity 100, (1 1 1)
2θ 31.4, intensity 26, (2 0 -3)
2θ 31.7, intensity 39, (1 1 -2)
2θ 33.6, intensity 25, (4 0 -2)
2θ 35.2, intensity 51, (3 1 -2)
2θ 39.0, intensity 27, (0 0 3)
2θ 39.1, intensity 25, (3 1 0)
2θ 40.2, intensity 28, (3 1 -3)
2θ 47.5, intensity 27, (0 2 0)
2θ 59.4, intensity 31, (3 1 -5)

Crystal structure
Unit cell a=10.679 b=3.831 c=8.575 alpha=90.00 beta=126.03 gamma=90.00
Space group Cm (No. 8)
Symmetry-distinct sites (fractional):
Nb1 0.000 0.000 0.000 (multiplicity 2)
Sb1 0.165 0.500 0.599 (multiplicity 2)
Sb2 0.226 0.500 0.278 (multiplicity 2)
Sb3 0.276 0.000 0.981 (multiplicity 2)
Sb4 0.442 0.000 0.707 (multiplicity 2)
P1 0.477 0.500 0.283 (multiplicity 2)